Structure and simulated powder diffraction line list of Nb2FeO6 (a structure optimized by DFT (GGA+U); a wavelength of 1.5418 Å).

Largest 8 diffraction maxima, by angle, 15 to 90 degrees two-theta:
| Position (°2θ) | intensity | h k l |
| --- | --- | --- |
| 23.24 | 55 | 1 0 2 |
| 23.74 | 59 | 1 0 -4 |
| 25.43 | 98 | 1 1 1 |
| 25.73 | 100 | 1 1 -3 |
| 32.79 | 37 | 1 1 3 |
| 33.28 | 30 | 1 1 -5 |
| 35.73 | 50 | 0 2 2 |
| 50.07 | 30 | 3 0 0 |

Structural model:
```
Nb2FeO6
1.0
5.821 0.000 0.000
0.000 5.339 0.000
-5.500 0.000 14.969
Nb Fe O
8 4 24
direct
0.006 0.042 0.336 Nb
0.006 0.458 0.836 Nb
0.340 0.044 0.166 Nb
0.340 0.456 0.666 Nb
0.660 0.544 0.334 Nb
0.660 0.956 0.834 Nb
0.994 0.542 0.164 Nb
0.994 0.958 0.664 Nb
0.345 0.741 0.000 Fe
0.345 0.759 0.500 Fe
0.655 0.241 0.500 Fe
0.655 0.259 0.000 Fe
0.018 0.228 0.103 O
0.018 0.272 0.603 O
0.096 0.631 0.740 O
0.096 0.869 0.240 O
0.199 0.728 0.101 O
0.199 0.772 0.601 O
0.308 0.105 0.418 O
0.308 0.395 0.918 O
0.386 0.131 0.740 O
0.386 0.369 0.240 O
0.484 0.105 0.082 O
0.484 0.395 0.582 O
0.516 0.605 0.418 O
0.516 0.895 0.918 O
0.614 0.631 0.760 O
0.614 0.869 0.260 O
0.692 0.605 0.082 O
0.692 0.895 0.582 O
0.801 0.228 0.399 O
0.801 0.272 0.899 O
0.904 0.131 0.760 O
0.904 0.369 0.260 O
0.982 0.728 0.397 O
0.982 0.772 0.897 O
```